This entry pairs a crystal structure of Ba6LiNb2IrCl2O12 with its calculated PXRD pattern. Radiation: Cu Kα, 1.54184 Å. Structure: a GGA-PBE-relaxed structure.
Neutral-atom scattering factors, no anomalous dispersion.

Structural model:
Unit cell a=5.962 b=5.962 c=15.554 alpha=90.00 beta=90.00 gamma=120.00
Sites, in units of the cell vectors:
Ba: 0.000 0.000 0.000
Ba: 0.000 0.000 0.249
Ba: 0.000 0.000 0.594
Ba: 0.333 0.667 0.131
Ba: 0.333 0.667 0.420
Ba: 0.333 0.667 0.854
Li: 0.000 0.000 0.423
Nb: 0.667 0.333 0.031
Nb: 0.667 0.333 0.396
Ir: 0.667 0.333 0.214
Cl: 0.000 0.000 0.795
Cl: 0.333 0.667 0.638
O: 0.339 0.169 0.460
O: 0.356 0.178 0.126
O: 0.503 0.006 0.972
O: 0.503 0.497 0.972
O: 0.515 0.031 0.301
O: 0.515 0.485 0.301
O: 0.822 0.178 0.126
O: 0.822 0.644 0.126
O: 0.831 0.169 0.460
O: 0.831 0.661 0.460
O: 0.969 0.485 0.301
O: 0.994 0.497 0.972

Top 8 peaks for 15 to 90 degrees two-theta, by angle:
d = 4.900 Å, 18.1 deg, I = 34
d = 3.658 Å, 24.3 deg, I = 35
d = 3.107 Å, 28.7 deg, I = 55
d = 2.981 Å, 30.0 deg, I = 100
d = 2.311 Å, 39.0 deg, I = 25
d = 2.152 Å, 42.0 deg, I = 54
d = 1.721 Å, 53.2 deg, I = 20
d = 1.490 Å, 62.3 deg, I = 20